DyAuSeO: simulated powder diffraction line list (Cu Kα X-rays), based on a structure optimized by DFT (GGA-PBE).
Kinematic intensities with the Lorentz-polarization factor, no thermal factor.

Principal peaks in the range 10° ≤ 2θ ≤ 80°, in order of falling intensity:
d = 3.056 Å, intensity 100.0
d = 2.812 Å, intensity 97.8
d = 2.686 Å, intensity 85.3
d = 1.942 Å, intensity 77.6
d = 2.488 Å, intensity 68.5
d = 4.792 Å, intensity 55.3
d = 2.416 Å, intensity 55.1
d = 3.195 Å, intensity 42.3
d = 1.584 Å, intensity 34.5
d = 1.833 Å, intensity 34.4

Atomic structure:
```
data_DyAuSeO
_chemical_formula_sum 'Dy4 Au4 Se4 O4'
_cell_length_a 5.595
_cell_length_b 9.584
_cell_length_c 5.624
_cell_angle_alpha 90.00
_cell_angle_beta 90.00
_cell_angle_gamma 90.00
_space_group_name_H-M_alt 'P c c a'
_space_group_IT_number 54
_space_group_name_Hall '-P 2a 2ac'
loop_
_atom_site_label
_atom_site_type_symbol
_atom_site_fract_x
_atom_site_fract_y
_atom_site_fract_z
Dy1 Dy 0.000 0.114 0.250
Au1 Au 0.250 0.500 0.224
Se1 Se 0.000 0.277 0.750
O1 O 0.250 0.000 0.001
```



Dy2Y2Er2TmNi2Te2: simulated powder diffraction line list (Cu Kα X-rays), based on a structure optimized by DFT (GGA-PBE).
Kinematic intensities with the Lorentz-polarization factor, no thermal factor.

Principal peaks in the range 10° ≤ 2θ ≤ 80°, in order of falling intensity:
d = 2.625 Å, intensity 100.0
d = 2.716 Å, intensity 87.3
d = 2.592 Å, intensity 69.2
d = 2.936 Å, intensity 53.6
d = 3.082 Å, intensity 45.6
d = 1.566 Å, intensity 39.6
d = 2.451 Å, intensity 35.9
d = 1.783 Å, intensity 34.7
d = 1.915 Å, intensity 31.2
d = 2.337 Å, intensity 28.0

Atomic structure:
```
data_Dy2Y2Er2TmNi2Te2
_chemical_formula_sum 'Dy4 Y4 Er4 Tm2 Ni4 Te4'
_cell_length_a 3.831
_cell_length_b 15.570
_cell_length_c 9.564
_cell_angle_alpha 90.00
_cell_angle_beta 90.00
_cell_angle_gamma 90.00
_space_group_name_H-M_alt 'I m m 2'
_space_group_IT_number 44
_space_group_name_Hall 'I 2 -2'
loop_
_atom_site_label
_atom_site_type_symbol
_atom_site_fract_x
_atom_site_fract_y
_atom_site_fract_z
Dy1 Dy 0.000 0.185 0.000
Y1 Y 0.000 0.369 0.799
Er1 Er 0.000 0.146 0.652
Tm1 Tm 0.000 0.500 0.380
Ni1 Ni 0.000 0.264 0.308
Te1 Te 0.000 0.000 0.144
Te2 Te 0.000 0.500 0.047
```



LuGaAg2: simulated powder diffraction line list (Cu Kα X-rays), based on a structure optimized by DFT (GGA-PBE).
Kinematic intensities with the Lorentz-polarization factor, no thermal factor.

Principal peaks in the range 10° ≤ 2θ ≤ 80°, in order of falling intensity:
d = 2.393 Å, intensity 100.0
d = 1.381 Å, intensity 33.9
d = 1.692 Å, intensity 16.9
d = 3.384 Å, intensity 5.6
d = 3.907 Å, intensity 5.5
d = 2.040 Å, intensity 3.0
d = 1.513 Å, intensity 2.3
d = 1.953 Å, intensity 1.7
d = 1.552 Å, intensity 1.3
d = 1.302 Å, intensity 1.0

Atomic structure:
```
data_LuGaAg2
_chemical_formula_sum 'Lu4 Ga4 Ag8'
_cell_length_a 6.767
_cell_length_b 6.767
_cell_length_c 6.767
_cell_angle_alpha 90.00
_cell_angle_beta 90.00
_cell_angle_gamma 90.00
_space_group_name_H-M_alt 'F -4 3 m'
_space_group_IT_number 216
_space_group_name_Hall 'F -4 2 3'
loop_
_atom_site_label
_atom_site_type_symbol
_atom_site_fract_x
_atom_site_fract_y
_atom_site_fract_z
Lu1 Lu 0.000 0.000 0.000
Ga1 Ga 0.250 0.250 0.750
Ag1 Ag 0.000 0.000 0.500
Ag2 Ag 0.250 0.250 0.250
```